(1)
Computed PXRD pattern of Ho4GaAg2 for Cu Kα (weighted mean of Kα1 and Kα2), from a cell relaxed with GGA-PBE.

a b c (Å): 7.831 7.831 7.831
angles (deg): 113.92 107.37 107.21
Positions (direct):
Ho1 0.012 0.128 0.010
Ho2 0.012 0.884 0.502
Ho3 0.488 0.498 0.115
Ho4 0.488 0.990 0.872
Ho5 0.618 0.002 0.490
Ho6 0.618 0.616 0.628
Ho7 0.882 0.372 0.385
Ho8 0.882 0.510 0.998
Ga1 0.250 0.625 0.375
Ga2 0.750 0.875 0.125
Ag1 0.092 0.342 0.750
Ag2 0.094 0.750 0.844
Ag3 0.406 0.250 0.656
Ag4 0.408 0.158 0.250

Peak list (10 most intense, 2θ = 10–90°, in order of rising 2θ)
- 2θ = 27.17°, 3.282 Å, intensity 40
- 2θ = 30.73°, 2.909 Å, intensity 77
- 2θ = 32.91°, 2.721 Å, intensity 83
- 2θ = 36.45°, 2.465 Å, intensity 77
- 2θ = 37.17°, 2.419 Å, intensity 100
- 2θ = 38.34°, 2.348 Å, intensity 23
- 2θ = 41.47°, 2.177 Å, intensity 35
- 2θ = 53.04°, 1.727 Å, intensity 25
- 2θ = 62.40°, 1.488 Å, intensity 22
- 2θ = 69.02°, 1.361 Å, intensity 20


(2)
Computed PXRD pattern of Ho2Ga2Ag3 for Cu Kα (weighted mean of Kα1 and Kα2), from a cell relaxed with GGA-PBE.

a b c (Å): 10.122 10.122 7.134
angles (deg): 90.00 90.00 155.76
Positions (direct):
Ho1 0.052 0.948 0.750
Ho2 0.159 0.841 0.250
Ho3 0.841 0.159 0.750
Ho4 0.948 0.052 0.250
Ga1 0.311 0.689 0.054
Ga2 0.311 0.689 0.446
Ga3 0.689 0.311 0.554
Ga4 0.689 0.311 0.946
Ag1 0.222 0.778 0.750
Ag2 0.436 0.564 0.559
Ag3 0.436 0.564 0.941
Ag4 0.564 0.436 0.059
Ag5 0.564 0.436 0.441
Ag6 0.778 0.222 0.250

Peak list (10 most intense, 2θ = 10–90°, in order of rising 2θ)
- 2θ = 29.84°, 2.994 Å, intensity 22
- 2θ = 33.10°, 2.706 Å, intensity 93
- 2θ = 33.39°, 2.684 Å, intensity 100
- 2θ = 36.31°, 2.474 Å, intensity 23
- 2θ = 42.16°, 2.143 Å, intensity 32
- 2θ = 42.55°, 2.125 Å, intensity 36
- 2θ = 46.20°, 1.965 Å, intensity 15
- 2θ = 53.48°, 1.713 Å, intensity 18
- 2θ = 61.45°, 1.509 Å, intensity 21
- 2θ = 74.07°, 1.280 Å, intensity 17